Diffraction record for Cs8Au3I3F. The powder XRD pattern is simulated, not measured: it uses the PBE geometry in Alexandria and Cu Kα (weighted mean of Kα1 and Kα2).
Lines closer than 0.1° are merged.

Largest 12 diffraction maxima, sorted by position, 2θ from 15° to 90°:
hkl 0 2 4, d = 3.752 Å, 23.72°, rel. 100
hkl 1 1 6, d = 3.397 Å, 26.24°, rel. 8
hkl 0 2 7, d = 2.927 Å, 30.55°, rel. 8
hkl 2 0 8, d = 2.696 Å, 33.23°, rel. 36
hkl 2 2 0, d = 2.611 Å, 34.34°, rel. 37
hkl 3 0 6, d = 2.505 Å, 35.85°, rel. 6
hkl 4 0 4, d = 2.143 Å, 42.16°, rel. 19
hkl 0 4 8, d = 1.876 Å, 48.53°, rel. 11
hkl 2 2 12, d = 1.700 Å, 53.94°, rel. 13
hkl 2 4 4, d = 1.657 Å, 55.45°, rel. 18
hkl 4 2 8, d = 1.524 Å, 60.79°, rel. 11
hkl 6 0 0, d = 1.508 Å, 61.51°, rel. 6

Structural model:
```
data_Cs8Au3I3F
_symmetry_space_group_name_H-M 'R -3 m'
_symmetry_Int_Tables_number 166
_symmetry_space_group_name_Hall '-R 3 2"'
_cell_length_a 10.4456
_cell_length_b 10.4456
_cell_length_c 26.8672
_cell_angle_alpha 90.00
_cell_angle_beta 90.00
_cell_angle_gamma 120.00
loop_
_atom_site_label
_atom_site_type_symbol
_atom_site_fract_x
_atom_site_fract_y
_atom_site_fract_z
Cs1 Cs 0.0000 0.0000 0.2438
Cs2 Cs 0.0363 0.5182 0.2358
Au1 Au 0.0000 0.5000 0.5000
I1 I 0.0000 0.5000 0.0000
F1 F 0.0000 0.0000 0.5000
```